Calculated X-ray powder pattern of KTl2GeCl5 for CuKα, from a cell relaxed with PBE.
Intensities are scaled so that the largest is 100.

Largest 10 diffraction maxima, most intense first, 2θ from 10° to 80°:
| d (Å) | intensity | (hkl) |
| --- | --- | --- |
| 8.156 | 100.0 | 0 0 2 |
| 3.660 | 98.6 | 1 1 2 |
| 4.648 | 70.9 | 0 2 3 |
| 2.691 | 66.7 | 1 5 1 |
| 2.552 | 65.7 | 1 1 5 |
| 4.320 | 55.2 | 0 4 1 |
| 2.439 | 48.8 | 1 5 3 |
| 4.091 | 47.1 | 1 1 0 |
| 3.066 | 40.9 | 0 2 5 |
| 3.272 | 37.3 | 1 1 3 |

Crystal structure
Lattice parameters (Å, degrees): 4.207 17.920 16.312 90.00 90.00 90.00
Space group Cmc2_1 (No. 36)
One atom of each set of equivalent atoms:
K  0.000  0.051  0.000 (multiplicity 4)
Tl  0.000  0.352  0.809 (multiplicity 4)
Tl  0.000  0.436  0.215 (multiplicity 4)
Ge  0.000  0.253  0.586 (multiplicity 4)
Cl  0.000  0.019  0.330 (multiplicity 4)
Cl  0.000  0.116  0.570 (multiplicity 4)
Cl  0.000  0.228  0.980 (multiplicity 4)
Cl  0.000  0.253  0.200 (multiplicity 4)
Cl  0.000  0.413  0.626 (multiplicity 4)

Calculated X-ray powder pattern of KYGeCl6 for CuKα, from a cell relaxed with PBE.
Intensities are scaled so that the largest is 100.

Largest 10 diffraction maxima, most intense first, 2θ from 10° to 80°:
| d (Å) | intensity | (hkl) |
| --- | --- | --- |
| 2.453 | 100.0 | 1 1 4 |
| 4.547 | 92.1 | 1 0 2 |
| 3.116 | 87.3 | 1 1 2 |
| 6.892 | 66.6 | 0 0 2 |
| 2.017 | 42.0 | 3 0 0 |
| 2.171 | 27.5 | 2 1 2 |
| 1.920 | 26.0 | 2 -1 6 |
| 6.051 | 24.7 | 1 0 0 |
| 1.558 | 19.3 | 4 -2 4 |
| 2.770 | 18.7 | 2 0 2 |

Crystal structure
Lattice parameters (Å, degrees): 6.9867 6.9867 13.7846 90.00 90.00 120.00
Space group P-31c (No. 163)
One atom of each set of equivalent atoms:
K  0.0000  0.0000  0.0000 (multiplicity 2)
Y  0.3333  0.6667  0.2500 (multiplicity 2)
Ge  0.3333  0.6667  0.7500 (multiplicity 2)
Cl  0.0036  0.3713  0.1407 (multiplicity 12)